# 1
# NdSm2Er2Sc2
Calculated XRD peak list, Cu Ka. Input: a structure optimized by DFT (GGA-PBE).

Top 10 peaks for 2θ = 10–80°, sorted by position:
- 4.408 Å, I = 204
- 2.817 Å, I = 1000
- 2.782 Å, I = 871
- 2.743 Å, I = 520
- 2.713 Å, I = 416
- 2.034 Å, I = 166
- 1.929 Å, I = 377
- 1.627 Å, I = 164
- 1.585 Å, I = 391
- 1.464 Å, I = 243

Cell and atoms:
```
NdSm2Er2Sc2
1.0
11.6605 -1.7222 0.0000
11.6605 1.7222 0.0000
-1.2583 0.0000 5.2772
Nd Sm Er Sc
1 2 2 2
Direct
0.0000 0.0000 0.0000 Nd
0.4264 0.4264 0.4261 Sm
0.5736 0.5736 0.5739 Sm
0.2095 0.2095 0.7096 Er
0.7905 0.7905 0.2904 Er
0.3537 0.3537 0.8533 Sc
0.6463 0.6463 0.1467 Sc
```

---

# 2
# Ce7GeSb3
Calculated XRD peak list, Cu Ka. Input: a structure optimized by DFT (GGA-PBE).

Top 10 peaks for 2θ = 10–80°, sorted by position:
- 3.456 Å, I = 110
- 2.983 Å, I = 1000
- 2.673 Å, I = 99
- 2.458 Å, I = 683
- 2.110 Å, I = 372
- 1.872 Å, I = 106
- 1.601 Å, I = 356
- 1.492 Å, I = 120
- 1.349 Å, I = 125
- 1.334 Å, I = 164

Cell and atoms:
```
Ce7GeSb3
1.0
-2.9816 4.5363 5.9708
2.9816 -4.5363 5.9708
2.9816 4.5363 -5.9708
Ce Ge Sb
7 1 3
Direct
0.0000 0.0000 0.0000 Ce
0.1063 0.7502 0.3561 Ce
0.3444 0.5000 0.8444 Ce
0.3941 0.7502 0.6439 Ce
0.6059 0.2498 0.3561 Ce
0.6556 0.5000 0.1556 Ce
0.8937 0.2498 0.6439 Ce
0.0000 0.5000 0.5000 Ge
0.2610 0.2610 0.0000 Sb
0.5000 0.0000 0.5000 Sb
0.7390 0.7390 0.0000 Sb
```